For AgGePd5, a DFT-relaxed cell (PBE, Alexandria) gives the calculated X-ray powder pattern in this record (Cu Kα).

Structure:
abc: 4.051 4.051 6.969
angles: 90.00 90.00 90.00
Fractional coordinates of all 7 atoms:
Ag: 0.000 0.000 0.000
Ge: 0.500 0.500 0.500
Pd: 0.000 0.500 0.289
Pd: 0.000 0.500 0.711
Pd: 0.500 0.000 0.289
Pd: 0.500 0.000 0.711
Pd: 0.500 0.500 0.000

The 6 most intense peaks (2θ = 10–90°), by intensity:
- hkl 1 1 2, 40.8 deg, I 100
- hkl 2 0 0, 44.7 deg, I 44
- hkl 3 1 2, 79.8 deg, I 27
- hkl 1 1 1, 33.8 deg, I 23
- hkl 2 2 0, 65.1 deg, I 14
- hkl 2 0 3, 60.7 deg, I 12



For Sm2AgGe4Pd3, a DFT-relaxed cell (PBE, Alexandria) gives the calculated X-ray powder pattern in this record (Cu Kα).

Structure:
abc: 4.319 4.319 10.405
angles: 90.00 90.00 90.00
Fractional coordinates of all 10 atoms:
Sm: 0.000 0.500 0.248
Sm: 0.500 0.000 0.752
Ag: 0.000 0.000 0.500
Ge: 0.000 0.000 0.000
Ge: 0.000 0.500 0.640
Ge: 0.500 0.000 0.360
Ge: 0.500 0.500 0.000
Pd: 0.000 0.500 0.875
Pd: 0.500 0.000 0.125
Pd: 0.500 0.500 0.500

The 6 most intense peaks (2θ = 10–90°), by intensity:
- hkl 1 1 2, 34.0 deg, I 100
- hkl 2 0 0, 41.8 deg, I 62
- hkl 1 0 3, 33.1 deg, I 60
- hkl 2 1 3, 54.4 deg, I 29
- hkl 1 0 5, 48.6 deg, I 27
- hkl 3 1 2, 71.4 deg, I 22



For Y2AgGe4Pd3, a DFT-relaxed cell (PBE, Alexandria) gives the calculated X-ray powder pattern in this record (Cu Kα).

Structure:
abc: 4.254 4.254 10.538
angles: 90.00 90.00 90.00
Fractional coordinates of all 10 atoms:
Y: 0.000 0.500 0.249
Y: 0.500 0.000 0.751
Ag: 0.500 0.500 0.000
Ge: 0.000 0.000 0.500
Ge: 0.000 0.500 0.859
Ge: 0.500 0.000 0.141
Ge: 0.500 0.500 0.500
Pd: 0.000 0.000 0.000
Pd: 0.000 0.500 0.629
Pd: 0.500 0.000 0.371

The 6 most intense peaks (2θ = 10–90°), by intensity:
- hkl 1 1 2, 34.3 deg, I 100
- hkl 2 0 0, 42.5 deg, I 66
- hkl 1 0 3, 33.1 deg, I 48
- hkl 1 1 4, 45.8 deg, I 37
- hkl 1 0 5, 48.2 deg, I 26
- hkl 2 1 3, 54.9 deg, I 22